Structure and computed X-ray powder pattern of PuCd2FeO6 (a structure optimized by DFT (PBE+U); Cu Kα X-rays).
Peak positions follow from Bragg's law for the DFT cell and can differ from measured ones.

Largest 6 diffraction maxima, sorted by position, 15° ≤ 2θ ≤ 90°:
| h k l | Position (°2θ) | I_rel |
| --- | --- | --- |
| 1 0 1 | 19.3 | 53.7 |
| 1 0 4 | 30.8 | 100.0 |
| 1 1 0 | 32.0 | 91.1 |
| 0 1 5 | 36.0 | 27.9 |
| 0 2 4 | 45.0 | 45.3 |
| 2 1 4 | 56.3 | 38.0 |

Structural model:
```
data_PuCd2FeO6
_symmetry_space_group_name_H-M 'R -3'
_symmetry_Int_Tables_number 148
_symmetry_space_group_name_Hall '-R 3'
_cell_length_a 5.5863
_cell_length_b 5.5863
_cell_length_c 14.5507
_cell_angle_alpha 90.00
_cell_angle_beta 90.00
_cell_angle_gamma 120.00
loop_
_atom_site_label
_atom_site_fract_x
_atom_site_fract_y
_atom_site_fract_z
Pu1 0.0000 0.0000 0.0000
Cd1 0.0000 0.0000 0.2298
Fe1 0.0000 0.0000 0.5000
O1 0.0032 0.6058 0.2450
```